Entry 1:
# BaThPaO6
Calculated powder XRD pattern, copper Kα. Input: DFT lattice parameters and positions (GGA-PBE).
No peak broadening, texture or thermal motion is included.

The 10 most intense peaks (2θ = 15–90°), in order of rising 2θ:
index  2θ/deg  d/Å  intensity
0 1 3  24.71  3.602  35.7
1 2 1  25.66  3.471  92.7
2 1 1  26.16  3.406  46.4
0 2 2  26.38  3.379  38.1
2 0 2  27.03  3.299  100.0
0 0 4  29.67  3.011  26.5
1 2 3  33.30  2.690  33.2
3 2 1  41.54  2.174  21.4
2 2 4  43.85  2.064  30.1
2 4 2  52.74  1.736  33.9

Crystal structure
Lattice parameters (Å, degrees): 7.887 8.163 12.043 90.00 90.00 90.00
Space group Imma (No. 74)
Inequivalent atoms, fractional coordinates:
Ba  0.000  0.250  0.036 [4 per cell]
Th  0.250  0.250  0.750 [4 per cell]
Pa  0.000  0.000  0.500 [4 per cell]
O  0.000  0.250  0.441 [4 per cell]
O  0.000  0.250  0.832 [4 per cell]
O  0.208  0.062  0.609 [16 per cell]

***

Entry 2:
# Ba4PaTi3O12
Calculated powder XRD pattern, copper Kα. Input: DFT lattice parameters and positions (GGA-PBE).
No peak broadening, texture or thermal motion is included.

The 10 most intense peaks (2θ = 15–90°), in order of rising 2θ:
index  2θ/deg  d/Å  intensity
1 1 0  15.10  5.867  21.7
2 1 1  26.31  3.388  12.4
2 2 0  30.47  2.934  100.0
3 1 0  34.17  2.624  7.1
3 2 1  40.68  2.218  9.1
4 0 0  43.63  2.074  31.5
4 2 2  54.15  1.694  39.8
4 4 0  63.41  1.467  19.4
6 2 0  71.97  1.312  17.5
6 4 2  88.09  1.109  21.4

Crystal structure
Lattice parameters (Å, degrees): 8.298 8.298 8.298 90.00 90.00 90.00
Space group Im-3m (No. 229)
Inequivalent atoms, fractional coordinates:
Ba  0.250  0.250  0.250 [8 per cell]
Pa  0.000  0.000  0.000 [2 per cell]
Ti  0.000  0.000  0.500 [6 per cell]
O  0.000  0.000  0.260 [12 per cell]
O  0.000  0.250  0.500 [12 per cell]

***

Entry 3:
# Ba2UPaO6
Calculated powder XRD pattern, copper Kα. Input: DFT lattice parameters and positions (GGA-PBE).
No peak broadening, texture or thermal motion is included.

The 10 most intense peaks (2θ = 15–90°), in order of rising 2θ:
index  2θ/deg  d/Å  intensity
0 0 2  19.79  4.485  12.3
1 1 0  28.14  3.172  100.0
2 0 0  40.21  2.243  27.6
1 0 4  45.20  2.006  6.3
2 1 2  49.80  1.831  42.9
2 2 0  58.17  1.586  18.2
0 0 6  62.08  1.495  3.1
3 1 0  65.85  1.418  19.1
2 2 4  73.08  1.295  6.1
3 2 2  80.05  1.199  22.7

Crystal structure
Lattice parameters (Å, degrees): 4.486 4.486 8.970 90.00 90.00 90.00
Space group P4/mmm (No. 123)
Inequivalent atoms, fractional coordinates:
Ba  0.000  0.000  0.242 [2 per cell]
U  0.500  0.500  0.000 [1 per cell]
Pa  0.500  0.500  0.500 [1 per cell]
O  0.000  0.500  0.000 [2 per cell]
O  0.000  0.500  0.500 [2 per cell]
O  0.500  0.500  0.250 [2 per cell]